Starting from a structure optimized by DFT (GGA-PBE), the powder diffraction line list of RbNa2Eu was computed for Cu Kα (weighted mean of Kα1 and Kα2).

Structural model:
Unit cell a=4.3084 b=4.3084 c=10.7745 alpha=90.00 beta=90.00 gamma=90.00
Positions (direct):
Rb: 0.0000 0.0000 0.0000
Na: 0.5000 0.5000 0.2787
Na: 0.5000 0.5000 0.7213
Eu: 0.0000 0.0000 0.5000

Top 6 peaks for 10 to 90 degrees two-theta, sorted by position:
d [Å]  I/Imax
5.387  35
4.308  40
3.365  100
3.047  39
2.652  24
1.814  34

Starting from a structure optimized by DFT (GGA-PBE), the powder diffraction line list of Na3Eu2Si2Se6 was computed for Cu Kα (weighted mean of Kα1 and Kα2).

Structural model:
Unit cell a=7.1870 b=7.1870 c=7.9270 alpha=98.71 beta=98.71 gamma=119.97
Positions (direct):
Na: 0.0000 0.0000 0.0000
Na: 0.3297 0.6703 0.0000
Na: 0.6703 0.3297 0.0000
Eu: 0.1665 0.8335 0.5000
Eu: 0.8335 0.1665 0.5000
Si: 0.4486 0.4486 0.3436
Si: 0.5514 0.5514 0.6564
Se: 0.1049 0.4184 0.2547
Se: 0.2683 0.2683 0.7445
Se: 0.4184 0.1049 0.2547
Se: 0.5816 0.8951 0.7453
Se: 0.7317 0.7317 0.2555
Se: 0.8951 0.5816 0.7453

Top 6 peaks for 10 to 90 degrees two-theta, sorted by position:
d [Å]  I/Imax
7.555  29
3.550  16
3.035  100
2.225  36
2.075  36
1.713  17

Starting from a structure optimized by DFT (GGA-PBE), the powder diffraction line list of Na3Eu2Si2Te6 was computed for Cu Kα (weighted mean of Kα1 and Kα2).

Structural model:
Unit cell a=7.7608 b=7.7608 c=8.4379 alpha=98.84 beta=98.84 gamma=120.02
Positions (direct):
Na: 0.0000 0.0000 0.0000
Na: 0.3338 0.6662 0.0000
Na: 0.6662 0.3338 0.0000
Eu: 0.1671 0.8329 0.5000
Eu: 0.8329 0.1671 0.5000
Si: 0.4498 0.4498 0.3509
Si: 0.5502 0.5502 0.6491
Te: 0.0976 0.4176 0.2545
Te: 0.2614 0.2614 0.7425
Te: 0.4176 0.0976 0.2545
Te: 0.5824 0.9024 0.7455
Te: 0.7386 0.7386 0.2575
Te: 0.9024 0.5824 0.7455

Top 6 peaks for 10 to 90 degrees two-theta, sorted by position:
d [Å]  I/Imax
8.029  17
3.262  100
2.379  37
2.240  38
1.847  19
1.425  16